Record 1
The following is a calculated PXRD pattern of CaNbVSnO6. It was derived from a cell relaxed with PBE+U, using Cu Kα (λ = 1.5418 Å).
Kinematic intensities with the Lorentz-polarization factor, no thermal factor.

Top 10 peaks for 2θ = 10–90°, sorted by position:
19.23°, I = 23; 31.66°, I = 100; 37.31°, I = 14; 39.04°, I = 7; 45.39°, I = 38; 49.72°, I = 7; 56.39°, I = 39; 66.13°, I = 22; 75.18°, I = 17; 83.86°, I = 7

Structural model:
Lattice parameters (Å, degrees): 7.993 7.993 7.993 90.00 90.00 90.00
Space group F-43m (No. 216)
Unique sites:
Ca 0.000 0.000 0.000
Nb 0.250 0.250 0.250
V 0.250 0.250 0.750
Sn 0.000 0.000 0.500
O 0.001 0.250 0.750

Record 2
The following is a calculated PXRD pattern of NdEuHfFeO6. It was derived from a cell relaxed with PBE+U, using Cu Kα (λ = 1.5418 Å).
Kinematic intensities with the Lorentz-polarization factor, no thermal factor.

Top 10 peaks for 2θ = 10–90°, sorted by position:
18.98°, I = 12; 31.24°, I = 100; 36.81°, I = 7; 38.51°, I = 4; 44.76°, I = 29; 49.03°, I = 3; 55.59°, I = 40; 65.16°, I = 18; 74.03°, I = 17; 82.52°, I = 6

Structural model:
Lattice parameters (Å, degrees): 8.099 8.099 8.099 90.00 90.00 90.00
Space group F-43m (No. 216)
Unique sites:
Nd 0.000 0.000 0.000
Eu 0.000 0.000 0.500
Hf 0.250 0.250 0.750
Fe 0.250 0.250 0.250
O 0.003 0.250 0.250

Record 3
The following is a calculated PXRD pattern of Mg2VWO6. It was derived from a cell relaxed with PBE+U, using Cu Kα (λ = 1.5418 Å).
Kinematic intensities with the Lorentz-polarization factor, no thermal factor.

Top 10 peaks for 2θ = 10–90°, sorted by position:
18.92°, I = 34; 20.67°, I = 29; 23.39°, I = 100; 23.51°, I = 50; 32.09°, I = 34; 32.28°, I = 34; 32.43°, I = 33; 39.47°, I = 29; 47.82°, I = 29; 52.68°, I = 32

Structural model:
Lattice parameters (Å, degrees): 5.176 5.201 5.549 62.68 62.46 60.77
Space group P1 (No. 1)
Unique sites:
Mg 0.000 0.000 0.000
Mg 0.495 0.511 0.498
V 0.706 0.710 0.875
W 0.204 0.209 0.381
O 0.092 0.823 0.665
O 0.319 0.595 0.163
O 0.416 0.104 0.654
O 0.589 0.927 0.166
O 0.815 0.430 0.666
O 0.940 0.315 0.168

Record 4
The following is a calculated PXRD pattern of Mn2ZnO4. It was derived from a cell relaxed with PBE+U, using Cu Kα (λ = 1.5418 Å).
Kinematic intensities with the Lorentz-polarization factor, no thermal factor.

Top 10 peaks for 2θ = 10–90°, sorted by position:
17.88°, I = 19; 29.38°, I = 33; 34.50°, I = 50; 34.68°, I = 100; 36.22°, I = 16; 42.17°, I = 21; 55.32°, I = 16; 55.70°, I = 31; 60.92°, I = 45; 61.19°, I = 11

Structural model:
Lattice parameters (Å, degrees): 10.552 6.059 20.133 90.00 99.71 90.00
Space group Cm (No. 8)
Unique sites:
Mn 0.000 0.000 0.000
Mn 0.001 0.500 0.503
Mn 0.025 0.250 0.845
Mn 0.027 0.250 0.344
Mn 0.051 0.500 0.686
Mn 0.152 0.500 0.969
Mn 0.250 0.500 0.251
Mn 0.251 0.000 0.752
Mn 0.276 0.250 0.094
Mn 0.276 0.250 0.595
Mn 0.302 0.500 0.438
Mn 0.400 0.000 0.219
Zn 0.026 0.500 0.094
Zn 0.027 0.000 0.595
Zn 0.052 0.000 0.190
Zn 0.151 0.000 0.470
Zn 0.276 0.500 0.843
Zn 0.277 0.000 0.346
Zn 0.300 0.000 0.938
Zn 0.402 0.500 0.720
O 0.077 0.500 0.284
O 0.082 0.000 0.291
O 0.082 0.500 0.791
O 0.086 0.000 0.790
O 0.107 0.273 0.033
O 0.108 0.235 0.538
O 0.196 0.237 0.400
O 0.196 0.272 0.906
O 0.220 0.000 0.157
O 0.221 0.500 0.147
O 0.221 0.500 0.649
O 0.222 0.000 0.649
O 0.331 0.500 0.033
O 0.331 0.500 0.541
O 0.332 0.000 0.041
O 0.332 0.000 0.540
O 0.357 0.263 0.789
O 0.358 0.226 0.283
O 0.445 0.266 0.651
O 0.447 0.229 0.156
O 0.467 0.500 0.399
O 0.471 0.000 0.398
O 0.471 0.500 0.898
O 0.473 0.000 0.905

Record 5
The following is a calculated PXRD pattern of Li4Ni5TeP6O24. It was derived from a cell relaxed with PBE+U, using Cu Kα (λ = 1.5418 Å).
Kinematic intensities with the Lorentz-polarization factor, no thermal factor.

Top 10 peaks for 2θ = 10–90°, sorted by position:
19.88°, I = 100; 23.92°, I = 24; 24.07°, I = 23; 24.23°, I = 23; 33.59°, I = 30; 33.79°, I = 15; 33.83°, I = 14; 34.03°, I = 26; 34.79°, I = 64; 54.35°, I = 28

Structural model:
Lattice parameters (Å, degrees): 8.304 8.397 8.399 64.27 64.62 64.71
Space group P1 (No. 1)
Unique sites:
Li 0.000 0.000 0.000
Li 0.103 0.944 0.489
Li 0.214 0.457 0.336
Li 0.550 0.664 0.792
Ni 0.196 0.650 0.980
Ni 0.356 0.803 0.133
Ni 0.491 0.951 0.280
Ni 0.704 0.157 0.486
Ni 0.836 0.300 0.631
Te 0.998 0.456 0.790
P 0.096 0.236 0.198
P 0.293 0.049 0.683
P 0.415 0.549 0.564
P 0.594 0.353 0.090
P 0.772 0.869 0.886
P 0.906 0.758 0.385
O 0.024 0.244 0.049
O 0.085 0.205 0.722
O 0.097 0.730 0.225
O 0.154 0.405 0.146
O 0.248 0.045 0.216
O 0.266 0.473 0.576
O 0.279 0.894 0.878
O 0.292 0.990 0.537
O 0.363 0.608 0.734
O 0.411 0.716 0.385
O 0.440 0.549 0.066
O 0.455 0.115 0.630
O 0.527 0.201 0.115
O 0.588 0.882 0.044
O 0.608 0.403 0.549
O 0.672 0.319 0.236
O 0.738 0.806 0.329
O 0.747 0.384 0.878
O 0.774 0.056 0.729
O 0.779 0.720 0.816
O 0.902 0.897 0.457
O 0.926 0.549 0.537
O 0.945 0.815 0.946
O 0.953 0.218 0.395

Record 6
The following is a calculated PXRD pattern of K2FeP2H3O8F2. It was derived from a cell relaxed with PBE+U, using Cu Kα (λ = 1.5418 Å).
Kinematic intensities with the Lorentz-polarization factor, no thermal factor.

Top 10 peaks for 2θ = 10–90°, sorted by position:
10.43°, I = 44; 10.58°, I = 90; 17.75°, I = 97; 20.38°, I = 59; 22.02°, I = 53; 25.12°, I = 100; 26.57°, I = 77; 27.25°, I = 80; 29.09°, I = 62; 32.06°, I = 48

Structural model:
Lattice parameters (Å, degrees): 7.199 8.502 8.619 79.99 87.45 87.07
Space group P1 (No. 1)
Unique sites:
K 0.000 0.000 0.000
K 0.233 0.065 0.627
K 0.476 0.394 0.673
K 0.724 0.368 0.162
Fe 0.268 0.467 0.182
Fe 0.578 0.878 0.366
P 0.124 0.827 0.344
P 0.290 0.664 0.850
P 0.712 0.718 0.788
P 0.863 0.558 0.507
H 0.060 0.260 0.297
H 0.329 0.256 0.994
H 0.409 0.368 0.068
H 0.539 0.063 0.065
H 0.724 0.885 0.754
H 0.860 0.289 0.616
O 0.043 0.646 0.433
O 0.071 0.326 0.193
O 0.100 0.797 0.790
O 0.272 0.667 0.037
O 0.313 0.818 0.419
O 0.331 0.164 0.932
O 0.422 0.146 0.319
O 0.450 0.790 0.775
O 0.528 0.108 0.950
O 0.534 0.093 0.444
O 0.663 0.572 0.907
O 0.729 0.675 0.605
O 0.783 0.411 0.464
O 0.926 0.295 0.716
O 0.936 0.692 0.860
O 0.994 0.460 0.659
F 0.369 0.465 0.377
F 0.724 0.989 0.183
F 0.734 0.677 0.334
F 0.993 0.936 0.458